1.
For La4Pm5Pr2, a GGA-PBE-relaxed structure gives the calculated powder XRD pattern in this record (Cu Kα (λ = 1.5418 Å)).
Lines closer than 0.1° are merged.

Structure:
```
data_La4Pm5Pr2
_symmetry_space_group_name_H-M 'I m m m'
_symmetry_Int_Tables_number 71
_symmetry_space_group_name_Hall '-I 2 2'
_cell_length_a 3.5909
_cell_length_b 9.5218
_cell_length_c 23.4585
_cell_angle_alpha 90.00
_cell_angle_beta 90.00
_cell_angle_gamma 90.00
loop_
_atom_site_label
_atom_site_type_symbol
_atom_site_fract_x
_atom_site_fract_y
_atom_site_fract_z
La1 La 0.0000 0.0000 0.0932
La2 La 0.0000 0.2919 0.5000
Pm1 Pm 0.0000 0.1949 0.3534
Pm2 Pm 0.0000 0.5000 0.0000
Pr1 Pr 0.0000 0.0000 0.2285
```

Main lines, in order of rising 2θ (5° ≤ 2θ ≤ 70°):
26.53°, intensity 26
27.62°, intensity 31
28.23°, intensity 33
29.56°, intensity 51
30.42°, intensity 81
31.44°, intensity 100
35.22°, intensity 23
36.69°, intensity 50
44.60°, intensity 26
60.42°, intensity 23

2.
For ThAg3Br8, a GGA-PBE-relaxed structure gives the calculated powder XRD pattern in this record (Cu Kα (λ = 1.5418 Å)).
Lines closer than 0.1° are merged.

Structure:
```
data_ThAg3Br8
_symmetry_space_group_name_H-M 'C 1 2/m 1'
_symmetry_Int_Tables_number 12
_symmetry_space_group_name_Hall '-C 2y'
_cell_length_a 14.3162
_cell_length_b 8.2734
_cell_length_c 8.5139
_cell_angle_alpha 90.00
_cell_angle_beta 124.55
_cell_angle_gamma 90.00
loop_
_atom_site_label
_atom_site_type_symbol
_atom_site_fract_x
_atom_site_fract_y
_atom_site_fract_z
Th1 Th 0.0000 0.0000 0.0000
Ag1 Ag 0.0000 0.5000 0.0000
Ag2 Ag 0.2500 0.2500 0.0000
Br1 Br 0.0019 0.2404 0.2442
Br2 Br 0.2276 0.5000 0.1805
Br3 Br 0.2428 0.0000 0.2453
```

Main lines, in order of rising 2θ (5° ≤ 2θ ≤ 70°):
12.62°, intensity 100
25.23°, intensity 41
30.13°, intensity 87
30.32°, intensity 43
39.05°, intensity 17
42.50°, intensity 15
42.74°, intensity 29
43.79°, intensity 48
45.70°, intensity 17
54.17°, intensity 20

3.
For K6AuCl4, a GGA-PBE-relaxed structure gives the calculated powder XRD pattern in this record (Cu Kα (λ = 1.5418 Å)).
Lines closer than 0.1° are merged.

Structure:
```
data_K6AuCl4
_symmetry_space_group_name_H-M 'C m c m'
_symmetry_Int_Tables_number 63
_symmetry_space_group_name_Hall '-C 2c 2'
_cell_length_a 4.4895
_cell_length_b 15.0954
_cell_length_c 23.4167
_cell_angle_alpha 90.00
_cell_angle_beta 90.00
_cell_angle_gamma 90.00
loop_
_atom_site_label
_atom_site_type_symbol
_atom_site_fract_x
_atom_site_fract_y
_atom_site_fract_z
K1 K 0.0000 0.0000 0.0000
K2 K 0.0000 0.1740 0.2500
K3 K 0.0000 0.2730 0.5829
K4 K 0.0000 0.4548 0.1621
Au1 Au 0.0000 0.1563 0.7500
Cl1 Cl 0.0000 0.0934 0.1215
Cl2 Cl 0.0000 0.3625 0.0416
```

Main lines, in order of rising 2θ (5° ≤ 2θ ≤ 70°):
7.55°, intensity 42
12.32°, intensity 45
16.34°, intensity 34
22.34°, intensity 26
25.70°, intensity 53
27.70°, intensity 100
28.15°, intensity 26
29.01°, intensity 27
37.15°, intensity 25
38.96°, intensity 25

4.
For Ca4MgCu2, a GGA-PBE-relaxed structure gives the calculated powder XRD pattern in this record (Cu Kα (λ = 1.5418 Å)).
Lines closer than 0.1° are merged.

Structure:
```
data_Ca4MgCu2
_symmetry_space_group_name_H-M 'I 4/m c m'
_symmetry_Int_Tables_number 140
_symmetry_space_group_name_Hall '-I 4 2c'
_cell_length_a 7.8626
_cell_length_b 7.8626
_cell_length_c 14.7315
_cell_angle_alpha 90.00
_cell_angle_beta 90.00
_cell_angle_gamma 90.00
loop_
_atom_site_label
_atom_site_type_symbol
_atom_site_fract_x
_atom_site_fract_y
_atom_site_fract_z
Ca1 Ca 0.1762 0.3238 0.1275
Mg1 Mg 0.0000 0.0000 0.2500
Cu1 Cu 0.1098 0.3902 0.5000
```

Main lines, in order of rising 2θ (5° ≤ 2θ ≤ 70°):
12.02°, intensity 42
15.94°, intensity 34
20.01°, intensity 57
31.29°, intensity 100
33.34°, intensity 32
36.13°, intensity 25
39.92°, intensity 44
41.88°, intensity 26
48.11°, intensity 16
65.63°, intensity 13

5.
For Sm8AgSb2, a GGA-PBE-relaxed structure gives the calculated powder XRD pattern in this record (Cu Kα (λ = 1.5418 Å)).
Lines closer than 0.1° are merged.

Structure:
```
data_Sm8AgSb2
_symmetry_space_group_name_H-M 'C 1 2/m 1'
_symmetry_Int_Tables_number 12
_symmetry_space_group_name_Hall '-C 2y'
_cell_length_a 19.3659
_cell_length_b 4.9474
_cell_length_c 7.2046
_cell_angle_alpha 90.00
_cell_angle_beta 101.02
_cell_angle_gamma 90.00
loop_
_atom_site_label
_atom_site_type_symbol
_atom_site_fract_x
_atom_site_fract_y
_atom_site_fract_z
Sm1 Sm 0.0152 0.0000 0.2661
Sm2 Sm 0.0940 0.5000 0.9912
Sm3 Sm 0.1578 0.5000 0.5168
Sm4 Sm 0.2141 0.0000 0.8404
Ag1 Ag 0.0000 0.5000 0.5000
Sb1 Sb 0.1821 0.0000 0.2633
```

Main lines, in order of rising 2θ (5° ≤ 2θ ≤ 70°):
27.39°, intensity 18
28.59°, intensity 19
29.63°, intensity 48
30.70°, intensity 100
32.16°, intensity 32
33.12°, intensity 16
34.05°, intensity 23
36.32°, intensity 47
37.80°, intensity 23
46.82°, intensity 15

6.
For Sb6PdPt, a GGA-PBE-relaxed structure gives the calculated powder XRD pattern in this record (Cu Kα (λ = 1.5418 Å)).
Lines closer than 0.1° are merged.

Structure:
```
data_Sb6PdPt
_symmetry_space_group_name_H-M 'C 1 2/m 1'
_symmetry_Int_Tables_number 12
_symmetry_space_group_name_Hall '-C 2y'
_cell_length_a 13.4773
_cell_length_b 9.5596
_cell_length_c 9.5705
_cell_angle_alpha 90.00
_cell_angle_beta 134.73
_cell_angle_gamma 90.00
loop_
_atom_site_label
_atom_site_type_symbol
_atom_site_fract_x
_atom_site_fract_y
_atom_site_fract_z
Sb1 Sb 0.0004 0.1545 0.1554
Sb2 Sb 0.1523 0.5000 0.3105
Sb3 Sb 0.1542 0.3449 0.6548
Sb4 Sb 0.1573 0.5000 0.0067
Pd1 Pd 0.2500 0.2500 0.5000
Pt1 Pt 0.2500 0.2500 0.0000
```

Main lines, in order of rising 2θ (5° ≤ 2θ ≤ 70°):
13.05°, intensity 33
18.55°, intensity 52
29.48°, intensity 100
29.56°, intensity 95
35.13°, intensity 34
42.25°, intensity 78
46.34°, intensity 26
46.62°, intensity 37
48.46°, intensity 24
48.58°, intensity 20